Entry 1:
Starting from a DFT-relaxed cell (PBE, Alexandria), the X-ray powder pattern of Na8B11C5 was calculated for Cu Kα, 1.54184 Å.
Lines closer than 0.1° are merged.

Peak list (8 most intense, 2θ from 10° to 90°, by angle)
2theta, d/Å, Rel. int.
35.01, 2.563, 12
36.37, 2.470, 16
41.00, 2.201, 48
42.02, 2.150, 38
42.19, 2.142, 100
63.69, 1.461, 18
76.90, 1.240, 13
79.28, 1.208, 17

Atomic structure:
Lattice parameters (Å, degrees): 9.050 9.050 5.125 90.00 90.00 143.71
Fractional positions:
Na1 0.124 0.876 0.000
Na2 0.127 0.373 0.496
Na3 0.373 0.127 0.496
Na4 0.375 0.625 0.999
Na5 0.625 0.375 0.999
Na6 0.627 0.873 0.496
Na7 0.873 0.627 0.496
Na8 0.876 0.124 0.000
B1 0.000 0.000 0.314
B2 0.000 0.000 0.651
B3 0.000 0.500 0.176
B4 0.000 0.500 0.848
B5 0.251 0.749 0.633
B6 0.262 0.262 0.844
B7 0.500 0.000 0.176
B8 0.500 0.000 0.848
B9 0.500 0.500 0.331
B10 0.738 0.738 0.844
B11 0.749 0.251 0.633
C1 0.250 0.750 0.334
C2 0.255 0.255 0.158
C3 0.500 0.500 0.658
C4 0.745 0.745 0.158
C5 0.750 0.250 0.334

Entry 2:
Starting from a DFT-relaxed cell (PBE, Alexandria), the X-ray powder pattern of Ti8CN2 was calculated for Cu Kα, 1.54184 Å.
Lines closer than 0.1° are merged.

Peak list (8 most intense, 2θ from 10° to 90°, by angle)
2theta, d/Å, Rel. int.
36.73, 2.447, 21
37.31, 2.410, 86
37.61, 2.392, 100
37.93, 2.372, 43
39.40, 2.287, 19
39.92, 2.258, 65
51.73, 1.767, 20
62.88, 1.478, 20

Atomic structure:
Lattice parameters (Å, degrees): 5.916 5.916 4.517 90.66 90.66 73.37
Fractional positions:
Ti1 0.102 0.685 0.758
Ti2 0.177 0.177 0.738
Ti3 0.315 0.898 0.242
Ti4 0.392 0.392 0.249
Ti5 0.608 0.608 0.751
Ti6 0.685 0.102 0.758
Ti7 0.823 0.823 0.262
Ti8 0.898 0.315 0.242
C1 0.000 0.000 0.000
N1 0.390 0.390 0.748
N2 0.610 0.610 0.252

Entry 3:
Starting from a DFT-relaxed cell (PBE, Alexandria), the X-ray powder pattern of Ce3Zn4Cd4 was calculated for Cu Kα, 1.54184 Å.
Lines closer than 0.1° are merged.

Peak list (8 most intense, 2θ from 10° to 90°, by angle)
2theta, d/Å, Rel. int.
31.54, 2.837, 100
32.53, 2.752, 30
33.55, 2.671, 97
36.03, 2.493, 23
40.06, 2.251, 46
40.28, 2.239, 42
43.85, 2.064, 19
58.11, 1.587, 27

Atomic structure:
Lattice parameters (Å, degrees): 8.597 8.597 8.597 149.65 127.98 61.43
Fractional positions:
Ce1 0.000 0.000 0.000
Ce2 0.381 0.881 0.500
Ce3 0.619 0.119 0.500
Zn1 0.225 0.225 0.000
Zn2 0.323 0.500 0.823
Zn3 0.677 0.500 0.177
Zn4 0.775 0.775 0.000
Cd1 0.023 0.330 0.693
Cd2 0.362 0.670 0.693
Cd3 0.638 0.330 0.307
Cd4 0.977 0.670 0.307

Entry 4:
Starting from a DFT-relaxed cell (PBE, Alexandria), the X-ray powder pattern of Np2Ag3O8 was calculated for Cu Kα, 1.54184 Å.
Lines closer than 0.1° are merged.

Peak list (8 most intense, 2θ from 10° to 90°, by angle)
2theta, d/Å, Rel. int.
18.88, 4.700, 66
23.69, 3.756, 57
24.36, 3.655, 100
28.08, 3.178, 65
29.73, 3.005, 56
31.17, 2.869, 72
32.49, 2.756, 67
32.96, 2.718, 74

Atomic structure:
Lattice parameters (Å, degrees): 5.997 6.162 6.387 77.76 67.10 88.72
Fractional positions:
Np1 0.237 0.145 0.024
Np2 0.763 0.855 0.976
Ag1 0.257 0.562 0.468
Ag2 0.500 0.000 0.500
Ag3 0.743 0.438 0.532
O1 0.175 0.975 0.811
O2 0.212 0.415 0.823
O3 0.247 0.284 0.259
O4 0.340 0.858 0.175
O5 0.660 0.142 0.825
O6 0.753 0.716 0.741
O7 0.788 0.585 0.177
O8 0.825 0.025 0.189

Entry 5:
Starting from a DFT-relaxed cell (PBE, Alexandria), the X-ray powder pattern of Li2Cd7Ag3 was calculated for Cu Kα, 1.54184 Å.
Lines closer than 0.1° are merged.

Peak list (8 most intense, 2θ from 10° to 90°, by angle)
2theta, d/Å, Rel. int.
21.39, 4.154, 35
24.15, 3.685, 24
24.94, 3.570, 43
37.31, 2.410, 21
37.57, 2.394, 77
37.79, 2.381, 100
38.36, 2.347, 51
40.25, 2.240, 49

Atomic structure:
Lattice parameters (Å, degrees): 3.009 4.693 17.895 90.00 94.18 90.00
Fractional positions:
Li1 0.162 0.000 0.292
Li2 0.838 0.000 0.708
Cd1 0.000 0.500 0.000
Cd2 0.061 0.000 0.139
Cd3 0.283 0.000 0.571
Cd4 0.382 0.500 0.777
Cd5 0.618 0.500 0.223
Cd6 0.717 0.000 0.429
Cd7 0.939 0.000 0.861
Ag1 0.188 0.500 0.372
Ag2 0.500 0.000 0.000
Ag3 0.812 0.500 0.628

Entry 6:
Starting from a DFT-relaxed cell (PBE, Alexandria), the X-ray powder pattern of Ge2Bi2PtSe2 was calculated for Cu Kα, 1.54184 Å.
Lines closer than 0.1° are merged.

Peak list (8 most intense, 2θ from 10° to 90°, by angle)
2theta, d/Å, Rel. int.
11.48, 7.711, 24
14.95, 5.926, 22
17.25, 5.140, 26
30.42, 2.938, 27
30.89, 2.895, 100
34.91, 2.570, 23
40.56, 2.224, 18
47.70, 1.907, 17

Atomic structure:
Lattice parameters (Å, degrees): 3.813 6.295 8.043 76.91 76.65 72.82
Fractional positions:
Ge1 0.243 0.160 0.352
Ge2 0.757 0.840 0.648
Bi1 0.478 0.306 0.741
Bi2 0.522 0.694 0.259
Pt1 0.000 0.500 0.500
Se1 0.190 0.755 0.869
Se2 0.810 0.245 0.131